Record 1
Calculated powder diffractogram of Sm2Al5Ni4 for CuKα, from DFT lattice parameters and positions (GGA-PBE).
No peak broadening, texture or thermal motion is included.

Top 8 peaks for 10 to 90 degrees two-theta, in order of rising 2θ:
- (0 0 4), 2θ 23.40, I = 70.9
- (0 2 4), 2θ 30.49, I = 31.9
- (2 0 0), 2θ 33.64, I = 37.5
- (1 3 1), 2θ 34.22, I = 75.9
- (1 3 3), 2θ 38.21, I = 100.0
- (2 2 0), 2θ 39.07, I = 30.8
- (2 0 4), 2θ 41.38, I = 73.2
- (1 3 7), 2θ 54.53, I = 34.2

Crystal structure
```
data_Sm2Al5Ni4
_chemical_formula_sum 'Sm8 Al20 Ni16'
_cell_length_a 5.3289
_cell_length_b 9.2103
_cell_length_c 15.2093
_cell_angle_alpha 90.00
_cell_angle_beta 90.00
_cell_angle_gamma 90.00
_symmetry_space_group_name_H-M 'F m m m'
_symmetry_Int_Tables_number 69
_symmetry_space_group_name_Hall '-F 2 2'
loop_
_atom_site_label
_atom_site_fract_x
_atom_site_fract_y
_atom_site_fract_z
Sm1 0.0000 0.0000 0.1330
Al1 0.0000 0.0000 0.5000
Al2 0.2500 0.2500 0.0000
Al3 0.2500 0.2500 0.2500
Ni1 0.0000 0.1564 0.3697
```

***

Record 2
Calculated powder diffractogram of Sm4AlNi3 for CuKα, from DFT lattice parameters and positions (GGA-PBE).
No peak broadening, texture or thermal motion is included.

Top 8 peaks for 10 to 90 degrees two-theta, in order of rising 2θ:
- (0 1 2), 2θ 26.35, I = 45.4
- (1 1 1), 2θ 32.23, I = 100.0
- (0 0 4), 2θ 33.13, I = 22.8
- (1 0 3), 2θ 34.12, I = 47.5
- (0 1 4), 2θ 39.27, I = 19.2
- (1 1 3), 2θ 40.13, I = 40.0
- (0 2 0), 2θ 41.69, I = 28.3
- (1 2 3), 2θ 54.95, I = 36.6

Crystal structure
```
data_Sm4AlNi3
_chemical_formula_sum 'Sm4 Al1 Ni3'
_cell_length_a 3.8385
_cell_length_b 4.3335
_cell_length_c 10.8170
_cell_angle_alpha 90.00
_cell_angle_beta 90.00
_cell_angle_gamma 90.00
_symmetry_space_group_name_H-M 'P m m 2'
_symmetry_Int_Tables_number 25
loop_
_symmetry_equiv_pos_as_xyz
'x,y,z'
'-x,-y,z'
'-x,y,z'
'x,-y,z'
loop_
_atom_site_label
_atom_site_fract_x
_atom_site_fract_y
_atom_site_fract_z
Sm1 0.0000 0.0000 0.0000
Sm2 0.0000 0.5000 0.2615
Sm3 0.5000 0.0000 0.4727
Sm4 0.5000 0.5000 0.7780
Al1 0.0000 0.0000 0.6896
Ni1 0.0000 0.5000 0.5583
Ni2 0.5000 0.0000 0.1994
Ni3 0.5000 0.5000 0.0645
```

***

Record 3
Calculated powder diffractogram of Sm2AlZn3Ni12 for CuKα, from DFT lattice parameters and positions (GGA-PBE).
No peak broadening, texture or thermal motion is included.

Top 8 peaks for 10 to 90 degrees two-theta, in order of rising 2θ:
- (1 1 3), 2θ 31.51, I = 100.0
- (0 2 1), 2θ 34.61, I = 43.9
- (1 1 6), 2θ 36.43, I = 43.9
- (0 2 4), 2θ 37.22, I = 64.7
- (1 0 10), 2θ 38.88, I = 70.2
- (2 0 8), 2θ 44.68, I = 46.3
- (1 2 2), 2θ 46.67, I = 56.5
- (2 2 0), 2θ 61.68, I = 43.2

Crystal structure
```
data_Sm2AlZn3Ni12
_chemical_formula_sum 'Sm6 Al3 Zn9 Ni36'
_cell_length_a 6.0150
_cell_length_b 6.0150
_cell_length_c 25.8617
_cell_angle_alpha 90.00
_cell_angle_beta 90.00
_cell_angle_gamma 120.00
_symmetry_space_group_name_H-M 'R -3 m'
_symmetry_Int_Tables_number 166
_symmetry_space_group_name_Hall '-R 3 2"'
loop_
_atom_site_label
_atom_site_fract_x
_atom_site_fract_y
_atom_site_fract_z
Sm1 0.0000 0.0000 0.1517
Al1 0.0000 0.0000 0.5000
Zn1 0.0000 0.5000 0.0000
Ni1 0.0493 0.5247 0.0967
Ni2 0.0737 0.5369 0.6155
```

***

Record 4
Calculated powder diffractogram of AlNi9Sn2 for CuKα, from DFT lattice parameters and positions (GGA-PBE).
No peak broadening, texture or thermal motion is included.

Top 8 peaks for 10 to 90 degrees two-theta, in order of rising 2θ:
- (1 1 2), 2θ 38.17, I = 4.4
- (1 1 3), 2θ 42.56, I = 100.0
- (2 0 0), 2θ 49.33, I = 32.7
- (0 0 6), 2θ 50.02, I = 14.9
- (2 2 0), 2θ 72.33, I = 9.9
- (2 0 6), 2θ 72.88, I = 18.1
- (3 1 3), 2θ 87.71, I = 23.6
- (1 1 9), 2θ 88.76, I = 9.8

Crystal structure
```
data_AlNi9Sn2
_chemical_formula_sum 'Al1 Ni9 Sn2'
_cell_length_a 3.6948
_cell_length_b 3.6948
_cell_length_c 10.9420
_cell_angle_alpha 90.00
_cell_angle_beta 90.00
_cell_angle_gamma 90.00
_symmetry_space_group_name_H-M 'P 4/m m m'
_symmetry_Int_Tables_number 123
_symmetry_space_group_name_Hall '-P 4 2'
loop_
_atom_site_label
_atom_site_fract_x
_atom_site_fract_y
_atom_site_fract_z
Al1 0.0000 0.0000 0.0000
Ni1 0.0000 0.5000 0.1547
Ni2 0.0000 0.5000 0.5000
Ni3 0.5000 0.5000 0.0000
Ni4 0.5000 0.5000 0.3290
Sn1 0.0000 0.0000 0.3270
```

***

Record 5
Calculated powder diffractogram of Sr2AlNi16 for CuKα, from DFT lattice parameters and positions (GGA-PBE).
No peak broadening, texture or thermal motion is included.

Top 8 peaks for 10 to 90 degrees two-theta, in order of rising 2θ:
- (1 1 3), 2θ 30.44, I = 17.7
- (3 0 0), 2θ 36.81, I = 26.6
- (0 2 4), 2θ 38.32, I = 26.0
- (2 2 0), 2θ 42.76, I = 60.7
- (3 0 3), 2θ 43.18, I = 100.0
- (0 0 6), 2θ 44.39, I = 38.9
- (2 2 3), 2θ 48.49, I = 57.3
- (2 2 6), 2θ 63.34, I = 16.4

Crystal structure
```
data_Sr2AlNi16
_chemical_formula_sum 'Sr6 Al3 Ni48'
_cell_length_a 8.4580
_cell_length_b 8.4580
_cell_length_c 12.2445
_cell_angle_alpha 90.00
_cell_angle_beta 90.00
_cell_angle_gamma 120.00
_symmetry_space_group_name_H-M 'R 3 m'
_symmetry_Int_Tables_number 160
_symmetry_space_group_name_Hall 'R 3 -2"'
loop_
_atom_site_label
_atom_site_fract_x
_atom_site_fract_y
_atom_site_fract_z
Sr1 0.0000 0.0000 0.0000
Sr2 0.0000 0.0000 0.3064
Al1 0.0000 0.0000 0.5636
Ni1 0.0000 0.0000 0.7542
Ni2 0.0000 0.2871 0.6560
Ni3 0.0011 0.5005 0.1553
Ni4 0.0088 0.5044 0.4997
Ni5 0.1715 0.3431 0.1452
```

***

Record 6
Calculated powder diffractogram of TaAlNi6 for CuKα, from DFT lattice parameters and positions (GGA-PBE).
No peak broadening, texture or thermal motion is included.

Top 8 peaks for 10 to 90 degrees two-theta, in order of rising 2θ:
- (1 0 0), 2θ 20.00, I = 28.3
- (2 0 0), 2θ 40.65, I = 21.9
- (2 0 1), 2θ 42.13, I = 20.6
- (0 0 4), 2θ 43.53, I = 30.4
- (2 0 2), 2θ 46.37, I = 100.0
- (2 2 0), 2θ 73.96, I = 17.4
- (2 0 6), 2θ 81.94, I = 17.7
- (2 2 4), 2θ 89.92, I = 21.2

Crystal structure
```
data_TaAlNi6
_chemical_formula_sum 'Ta2 Al2 Ni12'
_cell_length_a 5.1262
_cell_length_b 5.1262
_cell_length_c 8.3170
_cell_angle_alpha 90.00
_cell_angle_beta 90.00
_cell_angle_gamma 120.00
_symmetry_space_group_name_H-M 'P 63/m m c'
_symmetry_Int_Tables_number 194
_symmetry_space_group_name_Hall '-P 6c 2c'
loop_
_atom_site_label
_atom_site_fract_x
_atom_site_fract_y
_atom_site_fract_z
Ta1 0.0000 0.0000 0.0000
Al1 0.3333 0.6667 0.2500
Ni1 0.0000 0.5000 0.0000
Ni2 0.1730 0.3460 0.7500
```

***

Record 7
Calculated powder diffractogram of Ta2AlNi9 for CuKα, from DFT lattice parameters and positions (GGA-PBE).
No peak broadening, texture or thermal motion is included.

Top 8 peaks for 10 to 90 degrees two-theta, in order of rising 2θ:
- (1 0 2), 2θ 29.48, I = 9.5
- (1 1 3), 2θ 43.04, I = 100.0
- (2 0 0), 2θ 49.93, I = 32.2
- (0 0 6), 2θ 50.50, I = 15.0
- (2 2 0), 2θ 73.29, I = 9.7
- (2 0 6), 2θ 73.75, I = 18.4
- (3 1 3), 2θ 88.95, I = 23.5
- (1 1 9), 2θ 89.82, I = 10.7

Crystal structure
```
data_Ta2AlNi9
_chemical_formula_sum 'Ta2 Al1 Ni9'
_cell_length_a 3.6532
_cell_length_b 3.6532
_cell_length_c 10.8438
_cell_angle_alpha 90.00
_cell_angle_beta 90.00
_cell_angle_gamma 90.00
_symmetry_space_group_name_H-M 'P 4/m m m'
_symmetry_Int_Tables_number 123
_symmetry_space_group_name_Hall '-P 4 2'
loop_
_atom_site_label
_atom_site_fract_x
_atom_site_fract_y
_atom_site_fract_z
Ta1 0.0000 0.0000 0.1740
Al1 0.0000 0.0000 0.5000
Ni1 0.0000 0.5000 0.0000
Ni2 0.0000 0.5000 0.3369
Ni3 0.5000 0.5000 0.1670
Ni4 0.5000 0.5000 0.5000
```

***

Record 8
Calculated powder diffractogram of Tb3Al2Ni6 for CuKα, from DFT lattice parameters and positions (GGA-PBE).
No peak broadening, texture or thermal motion is included.

Top 8 peaks for 10 to 90 degrees two-theta, in order of rising 2θ:
- (2 1 1), 2θ 24.37, I = 20.7
- (3 1 0), 2θ 31.63, I = 39.0
- (2 2 2), 2θ 34.74, I = 26.0
- (3 2 1), 2θ 37.62, I = 24.4
- (4 0 0), 2θ 40.33, I = 18.7
- (3 3 0), 2θ 42.89, I = 100.0
- (5 2 1), 2θ 56.33, I = 16.9
- (6 3 3), 2θ 78.59, I = 27.1

Crystal structure
```
data_Tb3Al2Ni6
_chemical_formula_sum 'Tb12 Al8 Ni24'
_cell_length_a 8.9451
_cell_length_b 8.9451
_cell_length_c 8.9451
_cell_angle_alpha 90.00
_cell_angle_beta 90.00
_cell_angle_gamma 90.00
_symmetry_space_group_name_H-M 'I m -3 m'
_symmetry_Int_Tables_number 229
_symmetry_space_group_name_Hall '-I 4 2 3'
loop_
_atom_site_label
_atom_site_fract_x
_atom_site_fract_y
_atom_site_fract_z
Tb1 0.0000 0.0000 0.2927
Al1 0.2500 0.2500 0.2500
Ni1 0.0000 0.3341 0.3341
```

***

Record 9
Calculated powder diffractogram of TbAl8Ni2 for CuKα, from DFT lattice parameters and positions (GGA-PBE).
No peak broadening, texture or thermal motion is included.

Top 8 peaks for 10 to 90 degrees two-theta, in order of rising 2θ:
- (1 0 0), 2θ 15.84, I = 44.3
- (1 0 1), 2θ 19.58, I = 54.5
- (1 1 1), 2θ 25.28, I = 100.0
- (1 0 2), 2θ 28.04, I = 22.7
- (2 0 2), 2θ 39.77, I = 66.5
- (1 1 3), 2θ 41.81, I = 25.9
- (2 2 0), 2θ 45.87, I = 30.0
- (3 1 1), 2θ 53.10, I = 25.3

Crystal structure
```
data_TbAl8Ni2
_chemical_formula_sum 'Tb1 Al8 Ni2'
_cell_length_a 5.5950
_cell_length_b 5.5950
_cell_length_c 7.7363
_cell_angle_alpha 90.00
_cell_angle_beta 90.00
_cell_angle_gamma 90.00
_symmetry_space_group_name_H-M 'P 4/m m m'
_symmetry_Int_Tables_number 123
_symmetry_space_group_name_Hall '-P 4 2'
loop_
_atom_site_label
_atom_site_fract_x
_atom_site_fract_y
_atom_site_fract_z
Tb1 0.0000 0.0000 0.0000
Al1 0.2500 0.2500 0.3179
Ni1 0.0000 0.5000 0.5000
```

***

Record 10
Calculated powder diffractogram of TbAl8Ni4 for CuKα, from DFT lattice parameters and positions (GGA-PBE).
No peak broadening, texture or thermal motion is included.

Top 8 peaks for 10 to 90 degrees two-theta, in order of rising 2θ:
- (1 1 0), 2θ 14.57, I = 39.6
- (1 0 1), 2θ 20.21, I = 40.3
- (2 1 1), 2θ 29.07, I = 54.2
- (2 2 0), 2θ 29.39, I = 45.7
- (3 0 1), 2θ 35.93, I = 39.7
- (2 0 2), 2θ 41.10, I = 100.0
- (3 2 1), 2θ 41.81, I = 65.8
- (4 0 0), 2θ 42.05, I = 63.3

Crystal structure
```
data_TbAl8Ni4
_chemical_formula_sum 'Tb2 Al16 Ni8'
_cell_length_a 8.5956
_cell_length_b 8.5956
_cell_length_c 5.1107
_cell_angle_alpha 90.00
_cell_angle_beta 90.00
_cell_angle_gamma 90.00
_symmetry_space_group_name_H-M 'I 4/m m m'
_symmetry_Int_Tables_number 139
_symmetry_space_group_name_Hall '-I 4 2'
loop_
_atom_site_label
_atom_site_fract_x
_atom_site_fract_y
_atom_site_fract_z
Tb1 0.0000 0.0000 0.0000
Al1 0.0000 0.2225 0.5000
Al2 0.0000 0.3440 0.0000
Ni1 0.2500 0.2500 0.2500
```

***

Record 11
Calculated powder diffractogram of Tb12AlNi5 for CuKα, from DFT lattice parameters and positions (GGA-PBE).
No peak broadening, texture or thermal motion is included.

Top 8 peaks for 10 to 90 degrees two-theta, in order of rising 2θ:
- (0 1 3), 2θ 28.61, I = 32.8
- (3 1 0), 2θ 30.15, I = 33.2
- (2 2 2), 2θ 32.29, I = 100.0
- (2 1 3), 2θ 34.53, I = 63.8
- (1 3 2), 2θ 34.80, I = 66.3
- (2 3 1), 2θ 35.25, I = 50.3
- (3 2 1), 2θ 35.54, I = 32.1
- (5 3 2), 2θ 60.32, I = 37.3

Crystal structure
```
data_Tb12AlNi5
_chemical_formula_sum 'Tb24 Al2 Ni10'
_cell_length_a 9.3538
_cell_length_b 9.5689
_cell_length_c 9.9129
_cell_angle_alpha 90.00
_cell_angle_beta 90.00
_cell_angle_gamma 90.00
_symmetry_space_group_name_H-M 'I m m m'
_symmetry_Int_Tables_number 71
_symmetry_space_group_name_Hall '-I 2 2'
loop_
_atom_site_label
_atom_site_fract_x
_atom_site_fract_y
_atom_site_fract_z
Tb1 0.0000 0.1892 0.2144
Tb2 0.1962 0.5000 0.1764
Tb3 0.2042 0.3176 0.5000
Al1 0.0000 0.0000 0.5000
Ni1 0.0000 0.0000 0.0000
Ni2 0.0000 0.3641 0.0000
Ni3 0.0000 0.5000 0.3751
```

***

Record 12
Calculated powder diffractogram of AlNiTe for CuKα, from DFT lattice parameters and positions (GGA-PBE).
No peak broadening, texture or thermal motion is included.

Top 8 peaks for 10 to 90 degrees two-theta, in order of rising 2θ:
- (0 0 1), 2θ 10.27, I = 45.8
- (1 0 0), 2θ 25.46, I = 100.0
- (0 1 0), 2θ 26.16, I = 31.9
- (0 1 2), 2θ 28.81, I = 58.7
- (0 1 -1), 2θ 30.66, I = 46.8
- (1 0 3), 2θ 43.36, I = 61.6
- (0 1 4), 2θ 43.44, I = 30.7
- (2 1 0), 2θ 44.44, I = 98.0

Crystal structure
```
data_AlNiTe
_chemical_formula_sum 'Al2 Ni2 Te2'
_cell_length_a 4.0763
_cell_length_b 4.0764
_cell_length_c 8.9260
_cell_angle_alpha 76.86
_cell_angle_beta 89.91
_cell_angle_gamma 60.03
_symmetry_space_group_name_H-M 'P 1'
_symmetry_Int_Tables_number 1
loop_
_symmetry_equiv_pos_as_xyz
'x,y,z'
loop_
_atom_site_label
_atom_site_fract_x
_atom_site_fract_y
_atom_site_fract_z
Al1 0.0000 0.0000 0.0000
Al2 0.4017 0.1943 0.2101
Ni1 0.3102 0.3803 0.9286
Ni2 0.6940 0.6111 0.0841
Te1 0.5946 0.8121 0.7793
Te2 0.7919 0.4132 0.3839
```